1.
This entry pairs a crystal structure of TaVW with its theoretical XRD peak list. Radiation: λ = 1.5418 Å (Cu Kα). Structure: a PBE-relaxed structure.
Kinematic intensities with the Lorentz-polarization factor, no thermal factor.

Structural model:
```
TaVW
1.0
1.600 -2.278 0.000
1.600 2.278 0.000
0.000 0.000 13.167
Ta V W
2 2 2
Direct
0.250 0.750 0.907
0.750 0.250 0.093
0.250 0.750 0.574
0.750 0.250 0.426
0.250 0.750 0.268
0.750 0.250 0.732
```

Main lines, by angle (2θ = 15–90°):
| d/Å | Position (°2θ) | Rel. int. |
| --- | --- | --- |
| 2.633 | 34.05 | 14 |
| 2.433 | 36.95 | 21 |
| 2.278 | 39.57 | 27 |
| 2.248 | 40.11 | 100 |
| 2.194 | 41.13 | 18 |
| 1.600 | 57.63 | 9 |
| 1.580 | 58.40 | 13 |
| 1.393 | 67.18 | 12 |
| 1.309 | 72.15 | 26 |
| 1.124 | 86.59 | 9 |

2.
This entry pairs a crystal structure of TaV2W6 with its theoretical XRD peak list. Radiation: λ = 1.5418 Å (Cu Kα). Structure: a PBE-relaxed structure.
Kinematic intensities with the Lorentz-polarization factor, no thermal factor.

Structural model:
```
TaV2W6
1.0
5.015 0.000 0.000
0.005 5.084 0.000
1.287 2.535 5.737
Ta V W
1 2 6
Direct
0.000 0.000 0.000
0.159 0.816 0.371
0.841 0.184 0.629
0.058 0.609 0.782
0.373 0.244 0.512
0.500 0.256 0.000
0.500 0.744 0.000
0.627 0.756 0.488
0.942 0.391 0.218
```

Main lines, by angle (2θ = 15–90°):
| d/Å | Position (°2θ) | Rel. int. |
| --- | --- | --- |
| 2.751 | 32.55 | 49 |
| 2.450 | 36.69 | 100 |
| 2.410 | 37.31 | 73 |
| 2.268 | 39.74 | 48 |
| 2.256 | 39.96 | 62 |
| 2.249 | 40.10 | 58 |
| 2.175 | 41.51 | 99 |
| 2.091 | 43.26 | 91 |
| 2.079 | 43.54 | 76 |
| 2.031 | 44.62 | 53 |

3.
This entry pairs a crystal structure of Ta6V5W with its theoretical XRD peak list. Radiation: λ = 1.5418 Å (Cu Kα). Structure: a PBE-relaxed structure.
Kinematic intensities with the Lorentz-polarization factor, no thermal factor.

Structural model:
```
Ta6V5W
1.0
-2.258 3.194 6.729
2.258 -3.194 6.729
2.258 3.194 -6.729
Ta V W
6 5 1
Direct
0.081 0.332 0.749
0.248 0.000 0.248
0.416 0.668 0.749
0.584 0.332 0.251
0.752 0.000 0.752
0.919 0.668 0.251
0.000 0.500 0.500
0.167 0.167 0.000
0.331 0.831 0.500
0.669 0.169 0.500
0.833 0.833 0.000
0.500 0.500 0.000
```

Main lines, by angle (2θ = 15–90°):
| d/Å | Position (°2θ) | Rel. int. |
| --- | --- | --- |
| 3.194 | 27.93 | 9 |
| 3.183 | 28.03 | 18 |
| 2.255 | 39.97 | 100 |
| 2.243 | 40.21 | 20 |
| 1.597 | 57.72 | 7 |
| 1.591 | 57.95 | 13 |
| 1.303 | 72.52 | 20 |
| 1.301 | 72.68 | 7 |
| 1.297 | 72.92 | 13 |
| 1.127 | 86.29 | 9 |

4.
This entry pairs a crystal structure of TaV3W6 with its theoretical XRD peak list. Radiation: λ = 1.5418 Å (Cu Kα). Structure: a PBE-relaxed structure.
Kinematic intensities with the Lorentz-polarization factor, no thermal factor.

Structural model:
```
TaV3W6
1.0
2.743 0.000 0.000
0.932 9.193 0.000
0.009 2.868 12.729
Ta V W
2 6 12
Direct
0.239 0.369 0.371
0.761 0.631 0.629
0.211 0.361 0.024
0.356 0.924 0.595
0.356 0.937 0.262
0.644 0.063 0.738
0.644 0.076 0.405
0.789 0.639 0.976
0.071 0.790 0.118
0.075 0.781 0.783
0.097 0.802 0.446
0.238 0.344 0.688
0.359 0.924 0.926
0.498 0.496 0.834
0.502 0.504 0.166
0.641 0.076 0.074
0.762 0.656 0.312
0.903 0.198 0.554
0.925 0.219 0.217
0.929 0.210 0.882
```

Main lines, by angle (2θ = 15–90°):
| d/Å | Position (°2θ) | Rel. int. |
| --- | --- | --- |
| 4.723 | 18.79 | 11 |
| 2.229 | 40.47 | 100 |
| 2.224 | 40.56 | 49 |
| 2.217 | 40.69 | 48 |
| 2.191 | 41.20 | 45 |
| 2.174 | 41.53 | 45 |
| 1.575 | 58.60 | 15 |
| 1.565 | 59.00 | 16 |
| 1.549 | 59.70 | 15 |
| 1.267 | 74.94 | 14 |